1.
# SmCo3NiB
Calculated powder XRD pattern, Cu Kα (λ = 1.5418 Å). Input: the GGA-PBE geometry in the Materials Project.

Main lines, sorted by position (2θ = 5–70°):
2θ 20.41, intensity 11; 2θ 33.22, intensity 79; 2θ 35.75, intensity 30; 2θ 38.15, intensity 10; 2θ 41.51, intensity 68; 2θ 44.69, intensity 100; 2θ 53.31, intensity 12; 2θ 62.63, intensity 25; 2θ 65.85, intensity 15; 2θ 69.74, intensity 15

Cell and atoms:
a b c (Å): 5.024 5.024 6.873
angles (deg): 90.00 90.00 120.00
Positions (direct):
Sm 0.000 0.000 0.000
Sm 0.000 0.000 0.500
Co 0.000 0.500 0.211
Co 0.000 0.500 0.789
Co 0.500 0.000 0.211
Co 0.500 0.000 0.789
Co 0.500 0.500 0.211
Co 0.500 0.500 0.789
Ni 0.333 0.667 0.500
Ni 0.667 0.333 0.500
B 0.333 0.667 0.000
B 0.667 0.333 0.000


2.
# Sm4Th3O12
Calculated powder XRD pattern, Cu Kα (λ = 1.5418 Å). Input: the GGA-PBE geometry in the Materials Project.

Main lines, sorted by position (2θ = 5–70°):
2θ 27.12, intensity 35; 2θ 27.90, intensity 100; 2θ 32.10, intensity 49; 2θ 45.53, intensity 33; 2θ 46.53, intensity 33; 2θ 53.80, intensity 16; 2θ 54.69, intensity 31; 2θ 55.12, intensity 15; 2θ 57.64, intensity 11; 2θ 67.14, intensity 10

Cell and atoms:
a b c (Å): 23.124 23.124 23.124
angles (deg): 9.68 9.68 9.68
Positions (direct):
Sm 0.000 0.000 0.000
Sm 0.145 0.145 0.145
Sm 0.428 0.428 0.428
Sm 0.717 0.717 0.717
Th 0.286 0.286 0.286
Th 0.572 0.572 0.572
Th 0.857 0.857 0.857
O 0.032 0.032 0.032
O 0.180 0.180 0.180
O 0.252 0.252 0.252
O 0.327 0.327 0.327
O 0.394 0.394 0.394
O 0.460 0.460 0.460
O 0.537 0.537 0.537
O 0.608 0.608 0.608
O 0.755 0.755 0.755
O 0.823 0.823 0.823
O 0.894 0.894 0.894
O 0.965 0.965 0.965


3.
# KBiF6
Calculated powder XRD pattern, Cu Kα (λ = 1.5418 Å). Input: the GGA-PBE geometry in the Materials Project.

Main lines, sorted by position (2θ = 5–70°):
2θ 16.71, intensity 68; 2θ 23.71, intensity 100; 2θ 29.14, intensity 17; 2θ 33.78, intensity 11; 2θ 37.91, intensity 21; 2θ 41.69, intensity 49; 2θ 48.52, intensity 18; 2θ 51.67, intensity 18; 2θ 54.69, intensity 23; 2θ 65.85, intensity 24

Cell and atoms:
a b c (Å): 9.192 9.192 9.192
angles (deg): 109.47 109.47 109.47
Positions (direct):
K 0.000 0.000 0.500
K 0.000 0.500 0.000
K 0.500 0.000 0.000
K 0.500 0.500 0.500
Bi 0.000 0.000 0.000
Bi 0.000 0.500 0.500
Bi 0.500 0.000 0.500
Bi 0.500 0.500 0.000
F 0.038 0.588 0.331
F 0.050 0.257 0.088
F 0.088 0.050 0.257
F 0.169 0.757 0.707
F 0.207 0.450 0.538
F 0.243 0.293 0.831
F 0.257 0.088 0.050
F 0.293 0.831 0.243
F 0.331 0.038 0.588
F 0.412 0.669 0.962
F 0.450 0.538 0.207
F 0.462 0.793 0.550
F 0.538 0.207 0.450
F 0.550 0.462 0.793
F 0.588 0.331 0.038
F 0.669 0.962 0.412
F 0.707 0.169 0.757
F 0.743 0.912 0.950
F 0.757 0.707 0.169
F 0.793 0.550 0.462
F 0.831 0.243 0.293
F 0.912 0.950 0.743
F 0.950 0.743 0.912
F 0.962 0.412 0.669


4.
# Mg6WC
Calculated powder XRD pattern, Cu Kα (λ = 1.5418 Å). Input: the GGA-PBE geometry in the Materials Project.

Main lines, sorted by position (2θ = 5–70°):
2θ 15.08, intensity 100; 2θ 15.50, intensity 63; 2θ 21.29, intensity 26; 2θ 26.19, intensity 61; 2θ 26.44, intensity 23; 2θ 26.77, intensity 36; 2θ 30.44, intensity 44; 2θ 37.44, intensity 70; 2θ 38.16, intensity 35; 2θ 46.35, intensity 19

Cell and atoms:
a b c (Å): 4.174 6.846 11.432
angles (deg): 90.00 90.00 90.00
Positions (direct):
Mg 0.000 0.000 0.000
Mg 0.000 0.214 0.261
Mg 0.000 0.286 0.761
Mg 0.000 0.500 0.500
Mg 0.000 0.714 0.761
Mg 0.000 0.786 0.261
Mg 0.500 0.000 0.824
Mg 0.500 0.242 0.572
Mg 0.500 0.258 0.072
Mg 0.500 0.500 0.324
Mg 0.500 0.742 0.072
Mg 0.500 0.758 0.572
W 0.000 0.000 0.472
W 0.000 0.500 0.972
C 0.500 0.000 0.443
C 0.500 0.500 0.943


5.
# Dy2Co3Si5
Calculated powder XRD pattern, Cu Kα (λ = 1.5418 Å). Input: the GGA-PBE geometry in the Materials Project.

Main lines, sorted by position (2θ = 5–70°):
2θ 24.51, intensity 56; 2θ 32.17, intensity 22; 2θ 32.31, intensity 23; 2θ 36.28, intensity 100; 2θ 37.39, intensity 53; 2θ 37.52, intensity 64; 2θ 46.24, intensity 55; 2θ 53.25, intensity 27; 2θ 60.07, intensity 20; 2θ 60.23, intensity 22

Cell and atoms:
a b c (Å): 7.844 7.844 7.844
angles (deg): 104.83 89.63 138.63
Positions (direct):
Dy 0.133 0.235 0.368
Dy 0.367 0.735 0.103
Dy 0.633 0.265 0.897
Dy 0.867 0.765 0.632
Co 0.136 0.888 0.024
Co 0.250 0.750 0.500
Co 0.364 0.388 0.752
Co 0.636 0.612 0.248
Co 0.750 0.250 0.500
Co 0.864 0.112 0.976
Si 0.019 0.750 0.269
Si 0.103 0.655 0.758
Si 0.250 0.250 0.000
Si 0.397 0.155 0.553
Si 0.481 0.750 0.731
Si 0.519 0.250 0.269
Si 0.603 0.845 0.447
Si 0.750 0.750 0.000
Si 0.897 0.345 0.242
Si 0.981 0.250 0.731


6.
# Ti4CrC5
Calculated powder XRD pattern, Cu Kα (λ = 1.5418 Å). Input: the GGA-PBE geometry in the Materials Project.

Main lines, sorted by position (2θ = 5–70°):
2θ 7.16, intensity 3; 2θ 14.35, intensity 1; 2θ 36.39, intensity 90; 2θ 42.26, intensity 100; 2θ 47.14, intensity 1; 2θ 61.31, intensity 56; 2θ 68.40, intensity 1

Cell and atoms:
a b c (Å): 12.466 12.466 12.466
angles (deg): 13.93 13.93 13.93
Positions (direct):
Ti 0.102 0.102 0.102
Ti 0.299 0.299 0.299
Ti 0.701 0.701 0.701
Ti 0.898 0.898 0.898
Cr 0.500 0.500 0.500
C 0.000 0.000 0.000
C 0.197 0.197 0.197
C 0.402 0.402 0.402
C 0.598 0.598 0.598
C 0.803 0.803 0.803


7.
# MgTe4Mo2W2Se2S2
Calculated powder XRD pattern, Cu Kα (λ = 1.5418 Å). Input: the GGA-PBE geometry in the Materials Project.

Main lines, sorted by position (2θ = 5–70°):
2θ 5.67, intensity 31; 2θ 9.45, intensity 100; 2θ 11.35, intensity 16; 2θ 30.46, intensity 21; 2θ 31.95, intensity 11; 2θ 34.17, intensity 26; 2θ 36.12, intensity 13; 2θ 39.62, intensity 35; 2θ 42.27, intensity 12; 2θ 54.11, intensity 15

Cell and atoms:
a b c (Å): 3.390 3.390 46.794
angles (deg): 90.00 90.00 120.00
Positions (direct):
Mg 0.000 0.000 0.000
Te 0.333 0.667 0.239
Te 0.333 0.667 0.319
Te 0.333 0.667 0.857
Te 0.333 0.667 0.937
Mo 0.333 0.667 0.715
Mo 0.667 0.333 0.897
W 0.333 0.667 0.101
W 0.667 0.333 0.279
Se 0.667 0.333 0.680
Se 0.667 0.333 0.750
S 0.667 0.333 0.068
S 0.667 0.333 0.133


8.
# ThU3Re8
Calculated powder XRD pattern, Cu Kα (λ = 1.5418 Å). Input: the GGA-PBE geometry in the Materials Project.

Main lines, sorted by position (2θ = 5–70°):
2θ 30.38, intensity 22; 2θ 34.18, intensity 33; 2θ 36.22, intensity 82; 2θ 36.98, intensity 54; 2θ 37.44, intensity 21; 2θ 38.26, intensity 100; 2θ 40.15, intensity 40; 2θ 40.32, intensity 45; 2θ 42.41, intensity 33; 2θ 42.51, intensity 25

Cell and atoms:
a b c (Å): 5.289 5.289 8.633
angles (deg): 90.24 90.24 67.59
Positions (direct):
Th 0.000 0.000 0.000
U 0.004 0.004 0.369
U 0.326 0.326 0.509
U 0.335 0.335 0.850
Re 0.005 0.496 0.191
Re 0.326 0.834 0.680
Re 0.491 0.491 0.185
Re 0.496 0.005 0.191
Re 0.659 0.659 0.934
Re 0.665 0.665 0.435
Re 0.834 0.326 0.680
Re 0.836 0.836 0.682


9.
# PmPrMg2
Calculated powder XRD pattern, Cu Kα (λ = 1.5418 Å). Input: the GGA-PBE geometry in the Materials Project.

Main lines, sorted by position (2θ = 5–70°):
2θ 22.90, intensity 59; 2θ 32.61, intensity 100; 2θ 40.22, intensity 18; 2θ 46.79, intensity 18; 2θ 52.71, intensity 25; 2θ 58.19, intensity 38; 2θ 68.32, intensity 12

Cell and atoms:
a b c (Å): 7.767 7.767 7.767
angles (deg): 90.00 90.00 90.00
Positions (direct):
Pm 0.000 0.000 0.000
Pm 0.000 0.500 0.500
Pm 0.500 0.000 0.500
Pm 0.500 0.500 0.000
Pr 0.000 0.000 0.500
Pr 0.000 0.500 0.000
Pr 0.500 0.000 0.000
Pr 0.500 0.500 0.500
Mg 0.250 0.250 0.250
Mg 0.250 0.250 0.750
Mg 0.250 0.750 0.250
Mg 0.250 0.750 0.750
Mg 0.750 0.250 0.250
Mg 0.750 0.250 0.750
Mg 0.750 0.750 0.250
Mg 0.750 0.750 0.750


10.
# LiAg3
Calculated powder XRD pattern, Cu Kα (λ = 1.5418 Å). Input: the GGA-PBE geometry in the Materials Project.

Main lines, sorted by position (2θ = 5–70°):
2θ 21.67, intensity 32; 2θ 30.83, intensity 26; 2θ 38.00, intensity 100; 2θ 44.16, intensity 48; 2θ 49.71, intensity 13; 2θ 54.83, intensity 10; 2θ 64.23, intensity 30; 2θ 68.65, intensity 6

Cell and atoms:
a b c (Å): 4.102 4.102 4.102
angles (deg): 90.00 90.00 90.00
Positions (direct):
Li 0.000 0.000 0.000
Ag 0.000 0.500 0.500
Ag 0.500 0.000 0.500
Ag 0.500 0.500 0.000